For CaPr7Sm3, a structure optimized by DFT (GGA-PBE) gives the theoretical X-ray diffraction stick pattern in this record (Cu Kα, 1.54184 Å).

Crystal structure
Cell: 7.3361 7.3361 8.8804 Å, 90.00 90.00 120.00°
Space group P3m1 (No. 156)
Inequivalent atoms, fractional coordinates:
1 Ca 0.0000 0.0000 0.0000 x1
2 Pr 0.0021 0.5010 0.9900 x3
3 Pr 0.3333 0.6667 0.3191 x1
4 Pr 0.3380 0.1690 0.3370 x3
5 Sm 0.1691 0.3383 0.6565 x3

Main lines, in order of rising 2θ (10 to 90 degrees two-theta):
| 2theta | d (Å) | I (rel.) | hkl |
| --- | --- | --- | --- |
| 29.9 | 2.991 | 1000 | 2 0 1 |
| 30.2 | 2.960 | 318 | 0 0 3 |
| 34.7 | 2.584 | 667 | 0 2 2 |
| 49.7 | 1.834 | 241 | 2 2 0 |
| 50.1 | 1.820 | 231 | 2 0 4 |
| 59.1 | 1.563 | 143 | 0 4 1 |
| 59.3 | 1.559 | 279 | 2 2 3 |
| 59.6 | 1.550 | 135 | 0 2 5 |